The following is a theoretical X-ray diffraction stick pattern of LaCuW2O8. It was derived from a GGA+U-relaxed structure, using Cu Kα.

Largest 10 diffraction maxima, in order of rising 2θ, 2θ from 5° to 70°:
- hkl 1 0 -1, 14.3°, rel. 77
- hkl 1 1 -1, 17.1°, rel. 44
- hkl 1 1 0, 21.5°, rel. 61
- hkl 0 1 1, 23.9°, rel. 58
- hkl 1 -2 0, 26.9°, rel. 48
- hkl 2 0 0, 27.8°, rel. 100
- hkl 0 2 -2, 28.8°, rel. 96
- hkl 2 0 -2, 28.9°, rel. 73
- hkl 2 -2 0, 33.6°, rel. 42
- hkl 2 2 -2, 34.7°, rel. 64

Crystal structure
abc: 7.336 7.554 7.734
angles: 114.51 115.55 91.53
Space group P-1 (No. 2)
Inequivalent atoms, fractional coordinates:
La: 0.185 0.285 0.462 [2 per cell]
Cu: 0.222 0.676 0.956 [2 per cell]
W: 0.272 0.296 0.038 [2 per cell]
W: 0.355 0.900 0.713 [2 per cell]
O: 0.052 0.309 0.095 [2 per cell]
O: 0.146 0.996 0.804 [2 per cell]
O: 0.176 0.646 0.553 [2 per cell]
O: 0.202 0.368 0.820 [2 per cell]
O: 0.297 0.995 0.524 [2 per cell]
O: 0.387 0.168 0.255 [2 per cell]
O: 0.463 0.531 0.267 [2 per cell]
O: 0.476 0.826 0.003 [2 per cell]